Ag2H2IBrO2: computed X-ray powder pattern (Cu Kα, 1.54184 Å), based on a structure optimized by DFT (PBE).
Lines closer than 0.1° are merged.

Crystal structure
a b c (Å): 3.7947 3.7947 10.9072
angles (deg): 90.00 90.00 120.00
Space group P3m1 (No. 156)
Inequivalent atoms, fractional coordinates:
Ag1 0.0000 0.0000 0.0000 (multiplicity 1)
Ag2 0.3333 0.6667 0.4726 (multiplicity 1)
H1 0.6667 0.3333 0.3117 (multiplicity 1)
H2 0.6667 0.3333 0.8331 (multiplicity 1)
I1 0.0000 0.0000 0.6524 (multiplicity 1)
Br1 0.3333 0.6667 0.1558 (multiplicity 1)
O1 0.6667 0.3333 0.4019 (multiplicity 1)
O2 0.6667 0.3333 0.9232 (multiplicity 1)

Peak list (8 most intense, 15° ≤ 2θ ≤ 90°, low angle first)
Position (°2θ)  Rel. int.
16.25  38
27.13  27
28.36  53
31.79  23
36.87  100
47.95  37
61.98  21
81.97  19

Ag2HgIBr3: computed X-ray powder pattern (Cu Kα, 1.54184 Å), based on a structure optimized by DFT (PBE).
Lines closer than 0.1° are merged.

Crystal structure
a b c (Å): 6.2417 6.2477 7.5840
angles (deg): 113.46 112.76 91.10
Space group P1 (No. 1)
Inequivalent atoms, fractional coordinates:
Ag1 0.0000 0.0000 0.0000 (multiplicity 1)
Ag2 0.2538 0.7580 0.5056 (multiplicity 1)
Hg1 0.5039 0.5017 0.0052 (multiplicity 1)
I1 0.8647 0.3681 0.2764 (multiplicity 1)
Br1 0.1194 0.1380 0.7452 (multiplicity 1)
Br2 0.3809 0.8836 0.2493 (multiplicity 1)
Br3 0.6246 0.6200 0.7450 (multiplicity 1)

Peak list (8 most intense, 15° ≤ 2θ ≤ 90°, low angle first)
Position (°2θ)  Rel. int.
24.38  48
24.59  100
25.04  41
40.33  25
40.47  25
40.58  25
41.25  45
47.82  24

AgHgSBr: computed X-ray powder pattern (Cu Kα, 1.54184 Å), based on a structure optimized by DFT (PBE).
Lines closer than 0.1° are merged.

Crystal structure
a b c (Å): 7.1021 7.6996 8.4780
angles (deg): 90.00 90.00 90.00
Space group P2_12_12_1 (No. 19)
Inequivalent atoms, fractional coordinates:
Ag1 0.1047 0.1804 0.4036 (multiplicity 4)
Hg1 0.2490 0.2687 0.9865 (multiplicity 4)
S1 0.0008 0.3656 0.1549 (multiplicity 4)
Br1 0.0081 0.8810 0.8590 (multiplicity 4)

Peak list (8 most intense, 15° ≤ 2θ ≤ 90°, low angle first)
Position (°2θ)  Rel. int.
15.55  32
20.96  43
23.10  56
29.64  100
31.39  35
32.90  31
33.79  36
40.59  29